Simulated powder X-ray diffraction pattern
Compound: ErPuBiO2
Radiation: λ = 1.5418 Å (Cu Kα)
Structure: DFT lattice parameters and positions (PBE)
Kinematic intensities with the Lorentz-polarization factor, no thermal factor.

Peak list (10 most intense, 15 to 90 degrees two-theta, low angle first)
d (Å)	two_theta	Rel. int.
2.927	30.5	1000
2.754	32.5	380
2.219	40.7	104
1.947	46.6	176
1.728	53.0	243
1.621	56.8	360
1.464	63.6	117
1.383	67.7	104
1.246	76.4	77
1.128	86.3	114

Cell and atoms:
Cell: 3.8944 3.8944 13.3167 Å, 90.00 90.00 90.00°
Sites, in units of the cell vectors:
1 Er 0.0000 0.0000 0.0000
2 Er 0.5000 0.5000 0.5000
3 Pu 0.0000 0.0000 0.6730
4 Pu 0.5000 0.5000 0.1730
5 Bi 0.0000 0.0000 0.3340
6 Bi 0.5000 0.5000 0.8340
7 O 0.0000 0.5000 0.0808
8 O 0.0000 0.5000 0.5808
9 O 0.5000 0.0000 0.0808
10 O 0.5000 0.0000 0.5808

Simulated powder X-ray diffraction pattern
Compound: Na2CuC2O6
Radiation: λ = 1.5418 Å (Cu Kα)
Structure: DFT lattice parameters and positions (PBE)
Kinematic intensities with the Lorentz-polarization factor, no thermal factor.

Peak list (10 most intense, 15 to 90 degrees two-theta, low angle first)
d (Å)	two_theta	Rel. int.
5.203	17.0	458
4.666	19.0	535
4.307	20.6	611
2.990	29.9	337
2.714	33.0	1000
2.687	33.3	559
2.479	36.2	350
2.394	37.6	270
1.896	48.0	291
1.848	49.3	229

Cell and atoms:
Cell: 5.7601 8.1429 6.3034 Å, 90.00 115.42 90.00°
Sites, in units of the cell vectors:
1 Na 0.1371 0.0924 0.3147
2 Na 0.1371 0.4076 0.8147
3 Na 0.8629 0.5924 0.1853
4 Na 0.8629 0.9076 0.6853
5 Cu 0.5000 0.0000 0.0000
6 Cu 0.5000 0.5000 0.5000
7 C 0.3045 0.7314 0.1295
8 C 0.3045 0.7686 0.6295
9 C 0.6955 0.2314 0.3705
10 C 0.6955 0.2686 0.8705
11 O 0.1208 0.6692 0.5935
12 O 0.1208 0.8308 0.0935
13 O 0.2851 0.5748 0.1749
14 O 0.2851 0.9252 0.6749
15 O 0.4832 0.2236 0.8817
16 O 0.4832 0.2764 0.3817
17 O 0.5168 0.7236 0.6183
18 O 0.5168 0.7764 0.1183
19 O 0.7149 0.0748 0.3251
20 O 0.7149 0.4252 0.8251
21 O 0.8792 0.1692 0.9065
22 O 0.8792 0.3308 0.4065

Simulated powder X-ray diffraction pattern
Compound: Tb12Ho5Er2
Radiation: λ = 1.5418 Å (Cu Kα)
Structure: DFT lattice parameters and positions (PBE)
Kinematic intensities with the Lorentz-polarization factor, no thermal factor.

Peak list (10 most intense, 15 to 90 degrees two-theta, low angle first)
d (Å)	two_theta	Rel. int.
3.116	28.6	349
2.912	30.7	750
2.847	31.4	702
2.823	31.7	835
2.815	31.8	1000
2.791	32.1	395
2.681	33.4	770
2.507	35.8	527
2.455	36.6	394
1.533	60.4	408

Cell and atoms:
Cell: 9.0622 9.0622 8.5148 Å, 91.16 91.16 60.64°
Sites, in units of the cell vectors:
1 Tb 0.0589 0.0589 0.3372
2 Tb 0.0666 0.6792 0.3330
3 Tb 0.1655 0.5285 0.7599
4 Tb 0.3208 0.9334 0.6670
5 Tb 0.4125 0.4125 0.1171
6 Tb 0.4715 0.8345 0.2401
7 Tb 0.5285 0.1655 0.7599
8 Tb 0.5875 0.5875 0.8829
9 Tb 0.6792 0.0666 0.3330
10 Tb 0.8345 0.4715 0.2401
11 Tb 0.9334 0.3208 0.6670
12 Tb 0.9411 0.9411 0.6628
13 Ho 0.1998 0.1998 0.0157
14 Ho 0.2686 0.2686 0.4287
15 Ho 0.5000 0.5000 0.5000
16 Ho 0.7314 0.7314 0.5713
17 Ho 0.8002 0.8002 0.9843
18 Er 0.1751 0.8249 0.0000
19 Er 0.8249 0.1751 0.0000

Simulated powder X-ray diffraction pattern
Compound: TlPb2F11
Radiation: λ = 1.5418 Å (Cu Kα)
Structure: DFT lattice parameters and positions (PBE)
Kinematic intensities with the Lorentz-polarization factor, no thermal factor.

Peak list (10 most intense, 15 to 90 degrees two-theta, low angle first)
d (Å)	two_theta	Rel. int.
5.354	16.6	221
4.083	21.8	1000
3.986	22.3	502
3.683	24.2	749
3.536	25.2	767
3.119	28.6	320
2.032	44.6	308
2.003	45.3	213
1.958	46.4	443
1.847	49.3	222

Cell and atoms:
Cell: 8.4060 8.4060 8.4060 Å, 122.69 105.74 100.87°
Sites, in units of the cell vectors:
1 Tl 0.2500 0.2500 0.0000
2 Tl 0.7500 0.7500 0.0000
3 Pb 0.1821 0.6458 0.8279
4 Pb 0.3179 0.1458 0.4636
5 Pb 0.6821 0.8542 0.5364
6 Pb 0.8179 0.3542 0.1721
7 F 0.0000 0.5000 0.5000
8 F 0.0350 0.9542 0.2914
9 F 0.0708 0.3593 0.1626
10 F 0.1628 0.4542 0.9192
11 F 0.1967 0.9082 0.8374
12 F 0.2134 0.3768 0.5902
13 F 0.2866 0.8768 0.1635
14 F 0.3033 0.1407 0.7115
15 F 0.3372 0.2564 0.2914
16 F 0.4292 0.5918 0.2885
17 F 0.4650 0.7564 0.9192
18 F 0.5000 0.0000 0.5000
19 F 0.5350 0.2436 0.0808
20 F 0.5708 0.4082 0.7115
21 F 0.6628 0.7436 0.7086
22 F 0.6967 0.8593 0.2885
23 F 0.7134 0.1232 0.8365
24 F 0.7866 0.6232 0.4098
25 F 0.8033 0.0918 0.1626
26 F 0.8372 0.5458 0.0808
27 F 0.9292 0.6407 0.8374
28 F 0.9650 0.0458 0.7086

Simulated powder X-ray diffraction pattern
Compound: Mn5RuN
Radiation: λ = 1.5418 Å (Cu Kα)
Structure: DFT lattice parameters and positions (PBE)
Kinematic intensities with the Lorentz-polarization factor, no thermal factor.

Peak list (10 most intense, 15 to 90 degrees two-theta, low angle first)
d (Å)	two_theta	Rel. int.
3.555	25.0	92
2.325	38.7	759
2.038	44.4	293
1.942	46.8	1000
1.777	51.4	494
1.340	70.3	274
1.257	75.7	142
1.159	83.4	61
1.106	88.4	135
1.100	89.0	164

Cell and atoms:
Cell: 3.5550 3.5550 6.1148 Å, 90.00 90.00 90.00°
Sites, in units of the cell vectors:
1 Mn 0.0000 0.0000 0.0000
2 Mn 0.0000 0.5000 0.3062
3 Mn 0.0000 0.5000 0.6938
4 Mn 0.5000 0.0000 0.3062
5 Mn 0.5000 0.0000 0.6938
6 Ru 0.5000 0.5000 0.0000
7 N 0.5000 0.5000 0.5000

Simulated powder X-ray diffraction pattern
Compound: CaBi2Br2O3
Radiation: λ = 1.5418 Å (Cu Kα)
Structure: DFT lattice parameters and positions (PBE)
Kinematic intensities with the Lorentz-polarization factor, no thermal factor.

Peak list (10 most intense, 15 to 90 degrees two-theta, low angle first)
d (Å)	two_theta	Rel. int.
5.426	16.3	92
3.798	23.4	179
2.963	30.2	1000
2.867	31.2	435
2.535	35.4	93
2.073	43.7	90
2.028	44.7	223
1.730	52.9	166
1.673	54.9	375
1.291	73.4	81

Cell and atoms:
Cell: 4.0550 4.0550 21.7031 Å, 90.00 90.00 90.00°
Sites, in units of the cell vectors:
1 Ca 0.2500 0.2500 0.2343
2 Ca 0.7500 0.7500 0.7657
3 Bi 0.2500 0.2500 0.4451
4 Bi 0.2500 0.2500 0.8602
5 Bi 0.7500 0.7500 0.1398
6 Bi 0.7500 0.7500 0.5549
7 Br 0.2500 0.2500 0.0639
8 Br 0.2500 0.2500 0.6331
9 Br 0.7500 0.7500 0.3669
10 Br 0.7500 0.7500 0.9361
11 O 0.2500 0.7500 0.1939
12 O 0.2500 0.7500 0.5000
13 O 0.2500 0.7500 0.8061
14 O 0.7500 0.2500 0.1939
15 O 0.7500 0.2500 0.5000
16 O 0.7500 0.2500 0.8061

Simulated powder X-ray diffraction pattern
Compound: ScHIr3
Radiation: λ = 1.5418 Å (Cu Kα)
Structure: DFT lattice parameters and positions (PBE)
Kinematic intensities with the Lorentz-polarization factor, no thermal factor.

Peak list (10 most intense, 15 to 90 degrees two-theta, low angle first)
d (Å)	two_theta	Rel. int.
3.966	22.4	113
2.831	31.6	98
2.304	39.1	1000
2.022	44.8	171
1.983	45.8	323
1.416	66.0	216
1.402	66.7	105
1.215	78.8	130
1.198	80.1	252
1.152	84.0	113

Cell and atoms:
Cell: 5.6628 5.6628 5.6064 Å, 119.65 119.65 59.39°
Sites, in units of the cell vectors:
1 Sc 0.0000 0.0000 0.0000
2 Sc 0.5179 0.5179 0.5179
3 H 0.2587 0.2587 0.2771
4 H 0.7836 0.7836 0.2521
5 Ir 0.0083 0.5087 0.5118
6 Ir 0.0126 0.5038 0.0035
7 Ir 0.0146 0.0146 0.5158
8 Ir 0.5038 0.0126 0.0035
9 Ir 0.5064 0.5064 0.0072
10 Ir 0.5087 0.0083 0.5118

Simulated powder X-ray diffraction pattern
Compound: Pm2AlNi2
Radiation: λ = 1.5418 Å (Cu Kα)
Structure: DFT lattice parameters and positions (PBE)
Kinematic intensities with the Lorentz-polarization factor, no thermal factor.

Peak list (10 most intense, 15 to 90 degrees two-theta, low angle first)
d (Å)	two_theta	Rel. int.
3.351	26.6	802
2.644	33.9	1000
2.542	35.3	364
2.377	37.9	543
2.309	39.0	519
2.221	40.6	467
2.119	42.7	348
1.675	54.8	207
1.561	59.2	449
1.378	68.0	335

Cell and atoms:
Cell: 4.2388 5.4704 8.6111 Å, 90.00 90.00 90.00°
Sites, in units of the cell vectors:
1 Pm 0.0000 0.0000 0.2015
2 Pm 0.0000 0.0000 0.7985
3 Pm 0.5000 0.5000 0.2985
4 Pm 0.5000 0.5000 0.7015
5 Al 0.0000 0.5000 0.0000
6 Al 0.5000 0.0000 0.5000
7 Ni 0.0000 0.2616 0.5000
8 Ni 0.0000 0.7384 0.5000
9 Ni 0.5000 0.2384 0.0000
10 Ni 0.5000 0.7616 0.0000

Simulated powder X-ray diffraction pattern
Compound: DyZn9Rh2
Radiation: λ = 1.5418 Å (Cu Kα)
Structure: DFT lattice parameters and positions (PBE)
Kinematic intensities with the Lorentz-polarization factor, no thermal factor.

Peak list (10 most intense, 15 to 90 degrees two-theta, low angle first)
d (Å)	two_theta	Rel. int.
4.315	20.6	219
2.475	36.3	604
2.349	38.3	646
2.158	41.9	1000
2.063	43.9	145
1.922	47.3	331
1.589	58.0	149
1.435	65.0	187
1.280	74.1	137
1.237	77.1	309

Cell and atoms:
Cell: 8.6304 8.6304 3.0210 Å, 90.00 90.00 120.00°
Sites, in units of the cell vectors:
1 Dy 0.0000 0.0000 0.0000
2 Zn 0.0000 0.5000 0.0000
3 Zn 0.1855 0.3709 0.5000
4 Zn 0.1855 0.8145 0.5000
5 Zn 0.3709 0.1855 0.5000
6 Zn 0.5000 0.0000 0.0000
7 Zn 0.5000 0.5000 0.0000
8 Zn 0.6291 0.8145 0.5000
9 Zn 0.8145 0.1855 0.5000
10 Zn 0.8145 0.6291 0.5000
11 Rh 0.3333 0.6667 0.0000
12 Rh 0.6667 0.3333 0.0000

Simulated powder X-ray diffraction pattern
Compound: Li2AcNi9
Radiation: λ = 1.5418 Å (Cu Kα)
Structure: DFT lattice parameters and positions (PBE)
Kinematic intensities with the Lorentz-polarization factor, no thermal factor.

Peak list (10 most intense, 15 to 90 degrees two-theta, low angle first)
d (Å)	two_theta	Rel. int.
5.812	15.2	437
3.704	24.0	749
3.124	28.6	315
2.599	34.5	247
2.487	36.1	520
2.286	39.4	1000
2.075	43.6	530
2.012	45.1	366
1.993	45.5	410
1.838	49.6	307

Cell and atoms:
Cell: 8.2188 8.2188 4.8070 Å, 90.00 90.00 90.00°
Sites, in units of the cell vectors:
1 Li 0.1118 0.3882 0.0000
2 Li 0.3882 0.8882 0.0000
3 Li 0.6118 0.1118 0.0000
4 Li 0.8882 0.6118 0.0000
5 Ac 0.0000 0.0000 0.0000
6 Ac 0.5000 0.5000 0.0000
7 Ni 0.0000 0.5000 0.5000
8 Ni 0.0654 0.2165 0.5000
9 Ni 0.1789 0.6789 0.2474
10 Ni 0.1789 0.6789 0.7526
11 Ni 0.2165 0.9346 0.5000
12 Ni 0.2835 0.4346 0.5000
13 Ni 0.3211 0.1789 0.2474
14 Ni 0.3211 0.1789 0.7526
15 Ni 0.4346 0.7165 0.5000
16 Ni 0.5000 0.0000 0.5000
17 Ni 0.5654 0.2835 0.5000
18 Ni 0.6789 0.8211 0.2474
19 Ni 0.6789 0.8211 0.7526
20 Ni 0.7165 0.5654 0.5000
21 Ni 0.7835 0.0654 0.5000
22 Ni 0.8211 0.3211 0.2474
23 Ni 0.8211 0.3211 0.7526
24 Ni 0.9346 0.7835 0.5000

Simulated powder X-ray diffraction pattern
Compound: Ce4RuI5
Radiation: λ = 1.5418 Å (Cu Kα)
Structure: DFT lattice parameters and positions (PBE)
Kinematic intensities with the Lorentz-polarization factor, no thermal factor.

Peak list (10 most intense, 15 to 90 degrees two-theta, low angle first)
d (Å)	two_theta	Rel. int.
3.153	28.3	454
3.140	28.4	95
3.116	28.6	1000
2.834	31.6	94
2.299	39.2	178
2.222	40.6	320
2.211	40.8	308
2.119	42.7	179
1.759	52.0	165
1.558	59.3	104

Cell and atoms:
Cell: 9.9479 9.9479 9.1947 Å, 102.95 102.95 24.60°
Sites, in units of the cell vectors:
1 Ce 0.0012 0.0012 0.2914
2 Ce 0.3577 0.3577 0.4277
3 Ce 0.6423 0.6423 0.5723
4 Ce 0.9988 0.9988 0.7086
5 Ru 0.5000 0.5000 0.5000
6 I 0.1677 0.1677 0.8443
7 I 0.1739 0.1739 0.3240
8 I 0.5000 0.5000 0.0000
9 I 0.8261 0.8261 0.6760
10 I 0.8323 0.8323 0.1557

Simulated powder X-ray diffraction pattern
Compound: NaGa2AgF8
Radiation: λ = 1.5418 Å (Cu Kα)
Structure: DFT lattice parameters and positions (PBE)
Kinematic intensities with the Lorentz-polarization factor, no thermal factor.

Peak list (10 most intense, 15 to 90 degrees two-theta, low angle first)
d (Å)	two_theta	Rel. int.
5.329	16.6	166
5.081	17.5	168
3.768	23.6	1000
3.027	29.5	158
2.890	30.9	694
2.540	35.3	169
1.959	46.4	610
1.884	48.3	189
1.578	58.5	187
1.445	64.5	137

Cell and atoms:
Cell: 6.3426 6.3426 6.3426 Å, 107.10 107.10 114.32°
Sites, in units of the cell vectors:
1 Na 0.0000 0.0000 0.0000
2 Ga 0.2500 0.7500 0.5000
3 Ga 0.5000 0.5000 0.0000
4 Ag 0.7500 0.2500 0.5000
5 F 0.0938 0.4019 0.3081
6 F 0.0938 0.7858 0.6919
7 F 0.1492 0.3328 0.8165
8 F 0.2142 0.9062 0.3081
9 F 0.5163 0.3328 0.1835
10 F 0.5981 0.9062 0.6919
11 F 0.6672 0.4837 0.8165
12 F 0.6672 0.8508 0.1835